No. 1
Starting from a structure optimized by DFT (PBE), the XRD peak list of CdAg5Sb was computed for Cu Kα, 1.54184 Å.
Neutral-atom scattering factors, no anomalous dispersion.

Cell and atoms:
abc: 11.2797 7.9193 9.9572
angles: 90.00 122.83 90.00
Space group C2/c (No. 15)
One atom of each set of equivalent atoms:
Cd (0.0000, 0.2378, 0.2500) x4
Ag (0.0000, 0.3807, 0.7500) x4
Ag (0.2382, 0.0876, 0.5411) x8
Ag (0.2479, 0.3645, 0.7281) x8
Sb (0.2500, 0.2500, 0.0000) x4

Top 10 peaks for 2θ = 10–90°, low angle first:
hkl, 2theta, Rel. int.
2 0 0, 18.7, 100
2 0 -2, 19.2, 76
0 2 1, 24.9, 78
4 0 0, 38.0, 88
1 3 1, 38.5, 85
4 0 -4, 39.0, 47
0 2 3, 39.5, 57
4 2 -3, 41.0, 60
3 3 -1, 42.1, 65
0 0 4, 43.3, 42



No. 2
Starting from a structure optimized by DFT (PBE), the XRD peak list of TaAl5Os6 was computed for Cu Kα, 1.54184 Å.
Neutral-atom scattering factors, no anomalous dispersion.

Cell and atoms:
abc: 4.3114 12.8698 6.1316
angles: 90.00 90.00 90.00
Space group Cmmm (No. 65)
One atom of each set of equivalent atoms:
Ta (0.0000, 0.0000, 0.0000) x2
Al (0.0000, 0.0000, 0.5000) x2
Al (0.0000, 0.3336, 0.0000) x4
Al (0.0000, 0.3341, 0.5000) x4
Os (0.0000, 0.1697, 0.2532) x8
Os (0.0000, 0.5000, 0.2584) x4

Top 10 peaks for 2θ = 10–90°, low angle first:
hkl, 2theta, Rel. int.
0 0 2, 29.1, 16
1 3 0, 29.4, 32
2 0 0, 41.9, 100
0 6 0, 42.1, 20
2 0 2, 51.8, 7
2 6 0, 60.9, 13
3 3 0, 68.9, 9
2 0 4, 76.2, 7
3 3 2, 76.5, 14
1 9 2, 76.8, 14